The following is a calculated powder X-ray diffraction pattern of Li3Co4O8. It was derived from DFT lattice parameters and positions (PBE+U), using copper Kα.
Kinematic intensities with the Lorentz-polarization factor, no thermal factor.

Principal peaks in the range 10 to 80 degrees two-theta, by angle:
hkl	Position (°2θ)	Rel. int.
0 0 3	18.5	100
0 2 1	37.2	34
0 0 6	37.6	5
2 0 2	38.8	11
0 2 4	44.8	58
2 0 5	48.9	10
0 2 7	58.7	14
2 0 8	64.3	15
2 2 0	66.0	16
2 2 3	69.3	13

Structural model:
```
data_Li3Co4O8
_chemical_formula_sum 'Li9 Co12 O24'
_space_group_name_H-M_alt 'R -3 m'
_space_group_IT_number 166
_space_group_name_Hall '-R 3 2"'
_cell_length_a 5.6582
_cell_length_b 5.6582
_cell_length_c 14.3595
_cell_angle_alpha 90.00
_cell_angle_beta 90.00
_cell_angle_gamma 120.00
loop_
_atom_site_label
_atom_site_fract_x
_atom_site_fract_y
_atom_site_fract_z
Li1 0.0000 0.5000 0.0000
Co1 0.0000 0.0000 0.5000
Co2 0.0000 0.5000 0.5000
O1 0.0000 0.0000 0.2389
O2 0.0073 0.5036 0.2364
```

=====

The following is a calculated powder X-ray diffraction pattern of Li5Co8O16. It was derived from DFT lattice parameters and positions (PBE+U), using copper Kα.
Kinematic intensities with the Lorentz-polarization factor, no thermal factor.

Principal peaks in the range 10 to 80 degrees two-theta, by angle:
hkl	Position (°2θ)	Rel. int.
0 0 2	17.9	100
2 2 0	37.1	7
-2 2 1	37.2	7
0 4 -1	37.6	7
2 2 -2	39.2	7
2 2 2	43.7	7
-2 2 3	44.1	7
0 4 -3	45.4	7
0 4 3	47.1	7
2 6 -1	66.3	8

Structural model:
```
data_Li5Co8O16
_chemical_formula_sum 'Li10 Co16 O32'
_space_group_name_H-M_alt 'P 1'
_space_group_IT_number 1
_cell_length_a 5.6409
_cell_length_b 9.7684
_cell_length_c 10.0038
_cell_angle_alpha 92.16
_cell_angle_beta 97.45
_cell_angle_gamma 90.02
loop_
_space_group_symop_operation_xyz
'x,y,z'
loop_
_atom_site_label
_atom_site_fract_x
_atom_site_fract_y
_atom_site_fract_z
Li1 0.0000 0.0000 0.0000
Li2 0.0003 0.4267 0.9997
Li3 0.0724 0.5433 0.5087
Li4 0.3832 0.2416 0.5045
Li5 0.3940 0.7668 0.5146
Li6 0.4896 0.9792 0.9960
Li7 0.4979 0.4287 0.0012
Li8 0.7515 0.7075 0.0000
Li9 0.8748 0.9047 0.4745
Li10 0.8774 0.2363 0.5017
Co1 0.0574 0.4842 0.2520
Co2 0.0631 0.9851 0.2553
Co3 0.1899 0.3554 0.7514
Co4 0.1919 0.8541 0.7591
Co5 0.3069 0.2324 0.2435
Co6 0.3069 0.7328 0.2456
Co7 0.4399 0.1048 0.7523
Co8 0.4414 0.6046 0.7581
Co9 0.5597 0.4839 0.2575
Co10 0.5604 0.9857 0.2568
Co11 0.6893 0.3564 0.7502
Co12 0.6908 0.8545 0.7565
Co13 0.8073 0.2320 0.2463
Co14 0.8109 0.7321 0.2559
Co15 0.9406 0.1059 0.7537
Co16 0.9407 0.6055 0.7566
O1 0.0323 0.6467 0.1512
O2 0.0373 0.1447 0.1505
O3 0.0845 0.3175 0.3516
O4 0.0905 0.8195 0.3537
O5 0.1661 0.1874 0.6490
O6 0.1718 0.6831 0.6559
O7 0.2126 0.5178 0.8573
O8 0.2145 0.0268 0.8567
O9 0.2855 0.3957 0.1485
O10 0.2910 0.9014 0.1518
O11 0.3261 0.5775 0.3524
O12 0.3351 0.0763 0.3516
O13 0.4141 0.4332 0.6522
O14 0.4195 0.9307 0.6575
O15 0.4643 0.2791 0.8491
O16 0.4728 0.7765 0.8602
O17 0.5355 0.1401 0.1498
O18 0.5389 0.6455 0.1541
O19 0.5772 0.3144 0.3509
O20 0.5798 0.8223 0.3545
O21 0.6648 0.6870 0.6585
O22 0.6664 0.1890 0.6494
O23 0.7136 0.0257 0.8564
O24 0.7163 0.5210 0.8606
O25 0.7823 0.3967 0.1496
O26 0.7840 0.8987 0.1520
O27 0.8329 0.0696 0.3560
O28 0.8349 0.5698 0.3532
O29 0.9188 0.9338 0.6603
O30 0.9202 0.4338 0.6504
O31 0.9572 0.7757 0.8588
O32 0.9606 0.2799 0.8494
```

=====

The following is a calculated powder X-ray diffraction pattern of LiCo5O8. It was derived from DFT lattice parameters and positions (PBE+U), using copper Kα.
Kinematic intensities with the Lorentz-polarization factor, no thermal factor.

Principal peaks in the range 10 to 80 degrees two-theta, by angle:
hkl	Position (°2θ)	Rel. int.
0 1 2	15.5	14
1 1 3	24.6	19
1 0 4	26.9	7
0 2 4	31.2	39
4 0 1	36.8	100
4 0 4	44.7	15
2 0 8	55.5	13
4 2 5	59.2	35
0 4 8	65.1	44
2 6 5	77.1	7

Structural model:
```
data_LiCo5O8
_chemical_formula_sum 'Li12 Co60 O96'
_space_group_name_H-M_alt 'R 3'
_space_group_IT_number 146
_space_group_name_Hall 'R 3'
_cell_length_a 11.4692
_cell_length_b 11.4692
_cell_length_c 14.0290
_cell_angle_alpha 90.00
_cell_angle_beta 90.00
_cell_angle_gamma 120.00
loop_
_atom_site_label
_atom_site_fract_x
_atom_site_fract_y
_atom_site_fract_z
Li1 0.0000 0.0000 0.0000
Li2 0.9996 0.7506 0.5002
Co1 0.0000 0.0000 0.3764
Co2 0.0000 0.0000 0.6240
Co3 0.0001 0.2533 0.5002
Co4 0.0000 0.4986 0.0002
Co5 0.9996 0.5044 0.3750
Co6 0.0003 0.5047 0.6254
Co7 0.0824 0.1656 0.1664
Co8 0.1657 0.0824 0.8339
O1 0.0000 0.0000 0.2372
O2 0.0000 0.0000 0.7631
O3 0.0082 0.4947 0.7585
O4 0.0140 0.2557 0.2467
O5 0.0143 0.7663 0.2523
O6 0.0795 0.1831 0.4175
O7 0.0792 0.9200 0.9063
O8 0.0917 0.4110 0.4203
O9 0.0995 0.6810 0.4148
O10 0.1592 0.0800 0.0940
O11 0.1615 0.3415 0.5751
O12 0.1831 0.0793 0.5829
```

=====

The following is a calculated powder X-ray diffraction pattern of Li4Co5O12. It was derived from DFT lattice parameters and positions (PBE+U), using copper Kα.
Kinematic intensities with the Lorentz-polarization factor, no thermal factor.

Principal peaks in the range 10 to 80 degrees two-theta, by angle:
hkl	Position (°2θ)	Rel. int.
0 0 2	18.0	100
1 1 0	37.1	9
1 -2 1	37.2	9
-2 1 1	37.5	9
1 1 2	44.0	17
1 -2 3	44.3	17
-2 1 3	44.9	17
1 1 4	57.1	5
1 -2 5	57.5	5
3 -3 0	66.3	9

Structural model:
```
data_Li4Co5O12
_chemical_formula_sum 'Li4 Co5 O12'
_space_group_name_H-M_alt 'P 1'
_space_group_IT_number 1
_cell_length_a 4.8757
_cell_length_b 4.8957
_cell_length_c 9.9703
_cell_angle_alpha 94.91
_cell_angle_beta 93.60
_cell_angle_gamma 119.80
loop_
_space_group_symop_operation_xyz
'x,y,z'
loop_
_atom_site_label
_atom_site_fract_x
_atom_site_fract_y
_atom_site_fract_z
Li1 0.0000 0.0000 0.0000
Li2 0.0644 0.3928 0.2360
Li3 0.4426 0.4595 0.4704
Li4 0.7984 0.1326 0.4698
Co1 0.2056 0.1839 0.7303
Co2 0.3959 0.0449 0.2362
Co3 0.5372 0.8517 0.7331
Co4 0.7286 0.7025 0.2392
Co5 0.8732 0.5185 0.7333
O1 0.0225 0.7134 0.1338
O2 0.1001 0.0553 0.3436
O3 0.1756 0.4833 0.6298
O4 0.2282 0.8803 0.8291
O5 0.3904 0.3302 0.1343
O6 0.4539 0.7643 0.3459
O7 0.5212 0.1587 0.6313
O8 0.5707 0.5534 0.8282
O9 0.6651 0.9781 0.1403
O10 0.7244 0.4067 0.3466
O11 0.8338 0.8155 0.6320
O12 0.8984 0.2098 0.8296
```

=====

The following is a calculated powder X-ray diffraction pattern of LiCo2O4. It was derived from DFT lattice parameters and positions (PBE+U), using copper Kα.
Kinematic intensities with the Lorentz-polarization factor, no thermal factor.

Principal peaks in the range 10 to 80 degrees two-theta, by angle:
hkl	Position (°2θ)	Rel. int.
0 0 2	19.5	62
1 0 1	20.6	100
1 0 2	26.8	32
1 0 3	34.8	31
1 1 2	37.5	53
2 0 1	38.2	52
2 0 2	42.0	33
2 0 3	47.8	56
2 0 5	63.7	40
2 2 0	66.3	36

Structural model:
```
data_LiCo2O4
_chemical_formula_sum 'Li4 Co8 O16'
_space_group_name_H-M_alt 'P 63 m c'
_space_group_IT_number 186
_space_group_name_Hall 'P 6c -2c'
_cell_length_a 5.6389
_cell_length_b 5.6389
_cell_length_c 9.1093
_cell_angle_alpha 90.00
_cell_angle_beta 90.00
_cell_angle_gamma 120.00
loop_
_atom_site_label
_atom_site_fract_x
_atom_site_fract_y
_atom_site_fract_z
Li1 0.0000 0.0000 0.0000
Li2 0.3333 0.6667 0.3959
Co1 0.1695 0.3391 0.7121
Co2 0.3333 0.6667 0.9832
O1 0.0000 0.0000 0.3101
O2 0.0439 0.5220 0.8391
O3 0.1663 0.3326 0.1056
O4 0.3333 0.6667 0.6062
```

=====

The following is a calculated powder X-ray diffraction pattern of Li13Co15O28. It was derived from DFT lattice parameters and positions (PBE+U), using copper Kα.
Kinematic intensities with the Lorentz-polarization factor, no thermal factor.

Principal peaks in the range 10 to 80 degrees two-theta, by angle:
hkl	Position (°2θ)	Rel. int.
1 1 -1	18.5	100
2 -3 0	36.0	14
2 -1 2	36.6	13
-1 1 3	36.7	13
1 -2 3	38.1	14
1 -4 1	43.5	31
3 0 1	44.2	29
2 0 -4	44.4	29
1 3 1	48.2	13
-3 4 3	64.2	8

Structural model:
```
data_Li13Co15O28
_chemical_formula_sum 'Li13 Co15 O28'
_space_group_name_H-M_alt 'P -1'
_space_group_IT_number 2
_cell_length_a 7.6987
_cell_length_b 8.3168
_cell_length_c 8.6442
_cell_angle_alpha 104.23
_cell_angle_beta 104.93
_cell_angle_gamma 105.09
loop_
_space_group_symop_operation_xyz
'x,y,z'
'-x,-y,-z'
loop_
_atom_site_label
_atom_site_fract_x
_atom_site_fract_y
_atom_site_fract_z
Li1 0.0000 0.0000 0.0000
Li2 0.0694 0.7142 0.7889
Li3 0.1435 0.4307 0.5737
Li4 0.2121 0.1448 0.3574
Li5 0.2814 0.8569 0.1370
Li6 0.3588 0.5741 0.9294
Li7 0.4275 0.2933 0.7203
Co1 0.0000 0.5000 0.0000
Co2 0.0749 0.2166 0.7875
Co3 0.1402 0.9279 0.5742
Co4 0.2111 0.6379 0.3554
Co5 0.2875 0.3542 0.1413
Co6 0.3614 0.0716 0.9304
Co7 0.4287 0.7853 0.7173
Co8 0.5000 0.0000 0.5000
Co9 0.5000 0.5000 0.5000
O1 0.0146 0.2677 0.0024
O2 0.0534 0.4606 0.7887
O3 0.0914 0.9701 0.7864
O4 0.1368 0.1741 0.5736
O5 0.1608 0.6846 0.5678
O6 0.2125 0.8955 0.3671
O7 0.2345 0.3951 0.3538
O8 0.2690 0.5868 0.1459
O9 0.3032 0.1234 0.1376
O10 0.3540 0.3066 0.9370
O11 0.3735 0.8384 0.9258
O12 0.4268 0.0211 0.7231
O13 0.4416 0.5557 0.7196
O14 0.4819 0.7458 0.5024
```

=====

The following is a calculated powder X-ray diffraction pattern of Li7Co2O6. It was derived from DFT lattice parameters and positions (PBE+U), using copper Kα.
Kinematic intensities with the Lorentz-polarization factor, no thermal factor.

Principal peaks in the range 10 to 80 degrees two-theta, by angle:
hkl	Position (°2θ)	Rel. int.
1 0 0	16.6	46
0 1 1	18.4	100
1 0 1	24.6	57
1 1 1	24.7	38
1 -1 0	24.9	63
0 1 -1	31.7	36
0 0 2	36.6	18
2 1 0	38.3	36
1 0 -2	40.5	21
2 2 1	46.9	24

Structural model:
```
data_Li7Co2O6
_chemical_formula_sum 'Li7 Co2 O6'
_space_group_name_H-M_alt 'P 1'
_space_group_IT_number 1
_cell_length_a 5.3482
_cell_length_b 5.5580
_cell_length_c 5.6253
_cell_angle_alpha 60.68
_cell_angle_beta 89.60
_cell_angle_gamma 89.45
loop_
_space_group_symop_operation_xyz
'x,y,z'
loop_
_atom_site_label
_atom_site_fract_x
_atom_site_fract_y
_atom_site_fract_z
Li1 0.0000 0.0000 0.0000
Li2 0.0071 0.6865 0.5133
Li3 0.1386 0.5486 0.0113
Li4 0.2233 0.3111 0.5853
Li5 0.4736 0.8852 0.8976
Li6 0.6717 0.5659 0.3087
Li7 0.8648 0.0234 0.5846
Co1 0.4143 0.9648 0.3252
Co2 0.6609 0.3759 0.9128
O1 0.2360 0.9399 0.6123
O2 0.2936 0.6686 0.2639
O3 0.3115 0.2525 0.9586
O4 0.7575 0.9755 0.2784
O5 0.7870 0.6829 0.9361
O6 0.8477 0.3292 0.6410
```

=====

The following is a calculated powder X-ray diffraction pattern of LiCo7O8. It was derived from DFT lattice parameters and positions (PBE+U), using copper Kα.
Kinematic intensities with the Lorentz-polarization factor, no thermal factor.

Principal peaks in the range 10 to 80 degrees two-theta, by angle:
hkl	Position (°2θ)	Rel. int.
1 1 1	18.0	15
2 0 0	20.8	7
2 2 0	29.6	6
3 1 1	34.9	7
2 2 2	36.5	62
4 0 0	42.4	100
4 2 0	47.7	3
4 4 0	61.5	57
6 2 2	73.7	24
4 4 4	77.5	18

Structural model:
```
data_LiCo7O8
_chemical_formula_sum 'Li4 Co28 O32'
_space_group_name_H-M_alt 'F m -3 m'
_space_group_IT_number 225
_space_group_name_Hall '-F 4 2 3'
_cell_length_a 8.5314
_cell_length_b 8.5314
_cell_length_c 8.5314
_cell_angle_alpha 90.00
_cell_angle_beta 90.00
_cell_angle_gamma 90.00
loop_
_atom_site_label
_atom_site_fract_x
_atom_site_fract_y
_atom_site_fract_z
Li1 0.0000 0.0000 0.0000
Co1 0.0000 0.0000 0.5000
Co2 0.0000 0.2500 0.2500
O1 0.0000 0.0000 0.2581
O2 0.2500 0.2500 0.2500
```